This entry pairs a crystal structure of Dy4CdNi with its calculated powder XRD pattern. Radiation: CuKα. Structure: a crystal structure in the Materials Project, relaxed with GGA-PBE.

Main lines, in order of rising 2θ (2θ from 10° to 80°):
two_theta, Rel. int.
28.88, 34
32.55, 59
34.58, 100
37.76, 26
48.22, 6
52.13, 7
55.83, 13
58.07, 52
59.39, 13
69.38, 16
71.37, 7
72.55, 7

Cell and atoms:
```
Dy4CdNi
1.0
0.0000 6.7389 6.7389
6.7389 0.0000 6.7389
6.7389 6.7389 0.0000
Dy Cd Ni
16 4 4
Direct
0.1859 0.1859 0.8141
0.1859 0.8141 0.1859
0.1859 0.8141 0.8141
0.4015 0.4015 0.4015
0.4015 0.4015 0.7955
0.4015 0.7955 0.4015
0.5619 0.5619 0.9381
0.5619 0.9381 0.5619
0.5619 0.9381 0.9381
0.7955 0.4015 0.4015
0.8141 0.1859 0.1859
0.8141 0.1859 0.8141
0.8141 0.8141 0.1859
0.9381 0.5619 0.5619
0.9381 0.5619 0.9381
0.9381 0.9381 0.5619
0.1686 0.1686 0.1686
0.1686 0.1686 0.4943
0.1686 0.4943 0.1686
0.4943 0.1686 0.1686
0.1769 0.6077 0.6077
0.6077 0.1769 0.6077
0.6077 0.6077 0.1769
0.6077 0.6077 0.6077
```

This entry pairs a crystal structure of DyCdPt2 with its calculated powder XRD pattern. Radiation: CuKα. Structure: a crystal structure in the Materials Project, relaxed with GGA-PBE.

Main lines, in order of rising 2θ (2θ from 10° to 80°):
two_theta, Rel. int.
22.66, 1
26.22, 3
37.42, 100
44.19, 1
46.26, 1
53.95, 17
60.95, 1
67.50, 36
79.81, 11

Cell and atoms:
```
DyCdPt2
1.0
6.7978 0.0000 0.0000
0.0000 6.7978 0.0000
0.0000 0.0000 6.7978
Dy Cd Pt
4 4 8
Direct
0.0000 0.0000 0.0000
0.0000 0.5000 0.5000
0.5000 0.0000 0.5000
0.5000 0.5000 0.0000
0.0000 0.0000 0.5000
0.0000 0.5000 0.0000
0.5000 0.0000 0.0000
0.5000 0.5000 0.5000
0.2500 0.2500 0.2500
0.2500 0.2500 0.7500
0.2500 0.7500 0.2500
0.2500 0.7500 0.7500
0.7500 0.2500 0.2500
0.7500 0.2500 0.7500
0.7500 0.7500 0.2500
0.7500 0.7500 0.7500
```

This entry pairs a crystal structure of Dy4CdPt with its calculated powder XRD pattern. Radiation: CuKα. Structure: a crystal structure in the Materials Project, relaxed with GGA-PBE.

Main lines, in order of rising 2θ (2θ from 10° to 80°):
two_theta, Rel. int.
11.17, 10
28.35, 15
31.95, 39
33.94, 100
37.06, 36
38.82, 9
47.30, 7
51.12, 10
56.93, 39
58.22, 14
67.96, 13
71.05, 12

Cell and atoms:
```
Dy4CdPt
1.0
0.0000 6.8619 6.8619
6.8619 0.0000 6.8619
6.8619 6.8619 0.0000
Dy Cd Pt
16 4 4
Direct
0.1849 0.1849 0.8151
0.1849 0.8151 0.1849
0.1849 0.8151 0.8151
0.3984 0.3984 0.3984
0.3984 0.3984 0.8048
0.3984 0.8048 0.3984
0.5603 0.5603 0.9397
0.5603 0.9397 0.5603
0.5603 0.9397 0.9397
0.8048 0.3984 0.3984
0.8151 0.1849 0.1849
0.8151 0.1849 0.8151
0.8151 0.8151 0.1849
0.9397 0.5603 0.5603
0.9397 0.5603 0.9397
0.9397 0.9397 0.5603
0.1681 0.1681 0.1681
0.1681 0.1681 0.4956
0.1681 0.4956 0.1681
0.4956 0.1681 0.1681
0.1790 0.6070 0.6070
0.6070 0.1790 0.6070
0.6070 0.6070 0.1790
0.6070 0.6070 0.6070
```

This entry pairs a crystal structure of DyCdRh2 with its calculated powder XRD pattern. Radiation: CuKα. Structure: a crystal structure in the Materials Project, relaxed with GGA-PBE.

Main lines, in order of rising 2θ (2θ from 10° to 80°):
two_theta, Rel. int.
23.15, 2
26.80, 2
38.26, 100
45.20, 1
47.33, 1
55.22, 17
60.67, 1
62.42, 1
69.17, 34

Cell and atoms:
```
DyCdRh2
1.0
6.6535 0.0000 0.0000
0.0000 6.6535 0.0000
0.0000 0.0000 6.6535
Dy Cd Rh
4 4 8
Direct
0.0000 0.0000 0.0000
0.0000 0.5000 0.5000
0.5000 0.0000 0.5000
0.5000 0.5000 0.0000
0.0000 0.0000 0.5000
0.0000 0.5000 0.0000
0.5000 0.0000 0.0000
0.5000 0.5000 0.5000
0.2500 0.2500 0.2500
0.2500 0.2500 0.7500
0.2500 0.7500 0.2500
0.2500 0.7500 0.7500
0.7500 0.2500 0.2500
0.7500 0.2500 0.7500
0.7500 0.7500 0.2500
0.7500 0.7500 0.7500
```

This entry pairs a crystal structure of Dy2CdSe4 with its calculated powder XRD pattern. Radiation: CuKα. Structure: a crystal structure in the Materials Project, relaxed with GGA-PBE.

Main lines, in order of rising 2θ (2θ from 10° to 80°):
two_theta, Rel. int.
12.98, 23
21.27, 16
24.99, 86
30.25, 65
39.63, 44
43.31, 100
53.74, 17
60.14, 20
62.92, 16
68.80, 13
71.39, 21
79.46, 32

Cell and atoms:
```
Dy2CdSe4
1.0
0.0000 5.9087 5.9087
5.9087 0.0000 5.9087
5.9087 5.9087 0.0000
Dy Cd Se
4 2 8
Direct
0.0000 0.0000 0.0000
0.0000 0.0000 0.5000
0.0000 0.5000 0.0000
0.5000 0.0000 0.0000
0.3750 0.3750 0.3750
0.6250 0.6250 0.6250
0.2289 0.7570 0.7570
0.2430 0.2430 0.2430
0.2430 0.2430 0.7711
0.2430 0.7711 0.2430
0.7570 0.2289 0.7570
0.7570 0.7570 0.2289
0.7570 0.7570 0.7570
0.7711 0.2430 0.2430
```

This entry pairs a crystal structure of Dy2TlCd with its calculated powder XRD pattern. Radiation: CuKα. Structure: a crystal structure in the Materials Project, relaxed with GGA-PBE.

Main lines, in order of rising 2θ (2θ from 10° to 80°):
two_theta, Rel. int.
20.40, 4
33.62, 100
39.64, 2
48.28, 18
52.93, 1
60.12, 38
64.18, 1
70.67, 12
74.44, 1

Cell and atoms:
```
Dy2TlCd
1.0
7.5402 0.0000 0.0000
0.0000 7.5402 0.0000
0.0000 0.0000 7.5402
Dy Tl Cd
8 4 4
Direct
0.2500 0.2500 0.2500
0.2500 0.2500 0.7500
0.2500 0.7500 0.2500
0.2500 0.7500 0.7500
0.7500 0.2500 0.2500
0.7500 0.2500 0.7500
0.7500 0.7500 0.2500
0.7500 0.7500 0.7500
0.0000 0.0000 0.0000
0.0000 0.5000 0.5000
0.5000 0.0000 0.5000
0.5000 0.5000 0.0000
0.0000 0.0000 0.5000
0.0000 0.5000 0.0000
0.5000 0.0000 0.0000
0.5000 0.5000 0.5000
```

This entry pairs a crystal structure of DyTmCd2 with its calculated powder XRD pattern. Radiation: CuKα. Structure: a crystal structure in the Materials Project, relaxed with GGA-PBE.

Main lines, in order of rising 2θ (2θ from 10° to 80°):
two_theta, Rel. int.
23.86, 4
33.99, 100
41.96, 1
48.84, 18
55.06, 2
60.84, 37
71.55, 11
76.64, 1

Cell and atoms:
```
DyTmCd2
1.0
7.4595 0.0000 0.0000
0.0000 7.4595 0.0000
0.0000 0.0000 7.4595
Dy Tm Cd
4 4 8
Direct
0.0000 0.0000 0.0000
0.0000 0.5000 0.5000
0.5000 0.0000 0.5000
0.5000 0.5000 0.0000
0.0000 0.0000 0.5000
0.0000 0.5000 0.0000
0.5000 0.0000 0.0000
0.5000 0.5000 0.5000
0.2500 0.2500 0.2500
0.2500 0.2500 0.7500
0.2500 0.7500 0.2500
0.2500 0.7500 0.7500
0.7500 0.2500 0.2500
0.7500 0.2500 0.7500
0.7500 0.7500 0.2500
0.7500 0.7500 0.7500
```

This entry pairs a crystal structure of ErCd3 with its calculated powder XRD pattern. Radiation: CuKα. Structure: a crystal structure in the Materials Project, relaxed with GGA-PBE.

Main lines, in order of rising 2θ (2θ from 10° to 80°):
two_theta, Rel. int.
29.83, 10
33.13, 19
33.33, 17
35.18, 100
36.92, 28
38.06, 17
50.43, 12
50.77, 8
57.16, 8
64.40, 7
65.39, 16
70.00, 7

Cell and atoms:
```
ErCd3
1.0
7.1938 0.0000 0.0000
0.0000 10.8172 0.0000
0.0000 0.0000 4.8700
Er Cd
4 12
Direct
0.0000 0.1323 0.2500
0.0000 0.8677 0.7500
0.5000 0.3677 0.7500
0.5000 0.6323 0.2500
0.0000 0.3227 0.7500
0.0000 0.6773 0.2500
0.2153 0.4039 0.2500
0.2153 0.5961 0.7500
0.2847 0.0961 0.7500
0.2847 0.9039 0.2500
0.5000 0.1773 0.2500
0.5000 0.8227 0.7500
0.7153 0.0961 0.7500
0.7153 0.9039 0.2500
0.7847 0.4039 0.2500
0.7847 0.5961 0.7500
```